Entry 1:
Simulated X-ray diffraction stick pattern
Compound: Na2PbO2
Radiation: Cu Kα X-rays
Structure: DFT lattice parameters and positions (PBE)
Intensities are scaled so that the largest is 100.

Top 6 peaks for 10° ≤ 2θ ≤ 90°, by angle:
h k l	2theta	Rel. int.
3 1 0	20.01	66
4 0 0	20.69	38
2 1 1	21.97	80
1 2 1	29.89	100
6 0 0	31.26	44
5 2 1	39.63	75

Cell and atoms:
```
data_Na2PbO2
_chemical_formula_sum 'Na16 Pb8 O16'
_cell_length_a 17.1716
_cell_length_b 7.0227
_cell_length_c 6.0567
_cell_angle_alpha 90.00
_cell_angle_beta 90.00
_cell_angle_gamma 90.00
_space_group_name_H-M_alt 'P 1'
_space_group_IT_number 1
loop_
_space_group_symop_operation_xyz
'x,y,z'
loop_
_atom_site_label
_atom_site_type_symbol
_atom_site_fract_x
_atom_site_fract_y
_atom_site_fract_z
_atom_site_occupancy
Na1 Na 0.0000 0.1227 0.2500 1
Na2 Na 0.0000 0.3576 0.7500 1
Na3 Na 0.0000 0.6424 0.2500 1
Na4 Na 0.0000 0.8773 0.7500 1
Na5 Na 0.1336 0.3750 0.0841 1
Na6 Na 0.1336 0.6250 0.5841 1
Na7 Na 0.3664 0.1250 0.5841 1
Na8 Na 0.3664 0.8750 0.0841 1
Na9 Na 0.5000 0.1424 0.2500 1
Na10 Na 0.5000 0.3773 0.7500 1
Na11 Na 0.5000 0.6227 0.2500 1
Na12 Na 0.5000 0.8576 0.7500 1
Na13 Na 0.6336 0.1250 0.9159 1
Na14 Na 0.6336 0.8750 0.4159 1
Na15 Na 0.8664 0.3750 0.4159 1
Na16 Na 0.8664 0.6250 0.9159 1
Pb1 Pb 0.1621 0.1335 0.5667 1
Pb2 Pb 0.1621 0.8665 0.0667 1
Pb3 Pb 0.3379 0.3665 0.0667 1
Pb4 Pb 0.3379 0.6335 0.5667 1
Pb5 Pb 0.6621 0.3665 0.4333 1
Pb6 Pb 0.6621 0.6335 0.9333 1
Pb7 Pb 0.8379 0.1335 0.9333 1
Pb8 Pb 0.8379 0.8665 0.4333 1
O1 O 0.0865 0.3510 0.4370 1
O2 O 0.0865 0.6490 0.9370 1
O3 O 0.0969 0.1040 0.8893 1
O4 O 0.0969 0.8960 0.3893 1
O5 O 0.4031 0.3960 0.3893 1
O6 O 0.4031 0.6040 0.8893 1
O7 O 0.4135 0.1490 0.9370 1
O8 O 0.4135 0.8510 0.4370 1
O9 O 0.5865 0.1490 0.5630 1
O10 O 0.5865 0.8510 0.0630 1
O11 O 0.5969 0.3960 0.1107 1
O12 O 0.5969 0.6040 0.6107 1
O13 O 0.9031 0.1040 0.6107 1
O14 O 0.9031 0.8960 0.1107 1
O15 O 0.9135 0.3510 0.0630 1
O16 O 0.9135 0.6490 0.5630 1
```

Entry 2:
Simulated X-ray diffraction stick pattern
Compound: CsAuS2O8
Radiation: Cu Kα X-rays
Structure: DFT lattice parameters and positions (PBE)
Intensities are scaled so that the largest is 100.

Top 6 peaks for 10° ≤ 2θ ≤ 90°, by angle:
h k l	2theta	Rel. int.
0 0 2	18.06	76
1 -2 0	21.71	84
1 2 -1	22.02	89
1 2 1	24.98	68
2 0 1	25.44	85
-1 2 2	25.80	100

Cell and atoms:
```
data_CsAuS2O8
_chemical_formula_sum 'Cs4 Au4 S8 O32'
_cell_length_a 9.2469
_cell_length_b 9.3070
_cell_length_c 10.5507
_cell_angle_alpha 90.00
_cell_angle_beta 111.41
_cell_angle_gamma 90.00
_space_group_name_H-M_alt 'P 1'
_space_group_IT_number 1
loop_
_space_group_symop_operation_xyz
'x,y,z'
loop_
_atom_site_label
_atom_site_type_symbol
_atom_site_fract_x
_atom_site_fract_y
_atom_site_fract_z
_atom_site_occupancy
Cs1 Cs 0.0000 0.0000 0.0000 1
Cs2 Cs 0.2274 0.2782 0.5067 1
Cs3 Cs 0.4989 0.7812 0.9973 1
Cs4 Cs 0.7315 0.4976 0.5131 1
Au1 Au 0.2523 0.7782 0.4681 1
Au2 Au 0.4852 0.2832 0.0430 1
Au3 Au 0.7526 0.9916 0.4689 1
Au4 Au 0.9826 0.4863 0.0443 1
S1 S 0.0721 0.8753 0.6524 1
S2 S 0.1588 0.3904 0.8560 1
S3 S 0.3071 0.6115 0.2298 1
S4 S 0.4166 0.1059 0.2847 1
S5 S 0.5782 0.8903 0.6557 1
S6 S 0.6533 0.3802 0.8573 1
S7 S 0.8107 0.1598 0.2307 1
S8 S 0.9130 0.6648 0.2778 1
O1 O 0.0081 0.7375 0.6152 1
O2 O 0.0448 0.7773 0.2972 1
O3 O 0.0508 0.3649 0.7171 1
O4 O 0.0810 0.3421 0.9534 1
O5 O 0.1560 0.9266 0.5584 1
O6 O 0.1819 0.9023 0.7920 1
O7 O 0.1851 0.4882 0.2137 1
O8 O 0.2165 0.5327 0.8923 1
O9 O 0.2439 0.7353 0.1405 1
O10 O 0.2828 0.2740 0.8792 1
O11 O 0.2843 0.0401 0.2892 1
O12 O 0.3634 0.6427 0.3884 1
O13 O 0.3711 0.1395 0.1301 1
O14 O 0.4434 0.7810 0.6344 1
O15 O 0.4518 0.5427 0.2176 1
O16 O 0.4858 0.2271 0.3675 1
O17 O 0.5044 0.0321 0.6176 1
O18 O 0.5474 0.4074 0.7157 1
O19 O 0.5483 0.9865 0.3034 1
O20 O 0.5731 0.4273 0.9568 1
O21 O 0.6521 0.8436 0.5506 1
O22 O 0.6792 0.2847 0.2055 1
O23 O 0.6802 0.8734 0.7929 1
O24 O 0.7209 0.2345 0.8938 1
O25 O 0.7460 0.0365 0.1453 1
O26 O 0.7769 0.4951 0.8710 1
O27 O 0.7841 0.7325 0.2971 1
O28 O 0.8575 0.1320 0.3859 1
O29 O 0.8708 0.6313 0.1235 1
O30 O 0.9447 0.9969 0.6298 1
O31 O 0.9505 0.2301 0.2217 1
O32 O 0.9818 0.5415 0.3618 1
```

Entry 3:
Simulated X-ray diffraction stick pattern
Compound: NaAgI2O3
Radiation: Cu Kα X-rays
Structure: DFT lattice parameters and positions (PBE)
Intensities are scaled so that the largest is 100.

Top 6 peaks for 10° ≤ 2θ ≤ 90°, by angle:
h k l	2theta	Rel. int.
0 0 4	16.63	93
0 2 2	21.74	64
2 1 2	25.78	100
1 0 6	27.45	30
2 3 0	37.85	30
2 3 4	41.62	54

Cell and atoms:
```
data_NaAgI2O3
_chemical_formula_sum 'Na8 Ag8 I16 O24'
_cell_length_a 8.0205
_cell_length_b 8.8547
_cell_length_c 21.3214
_cell_angle_alpha 90.00
_cell_angle_beta 90.00
_cell_angle_gamma 90.00
_space_group_name_H-M_alt 'P 1'
_space_group_IT_number 1
loop_
_space_group_symop_operation_xyz
'x,y,z'
loop_
_atom_site_label
_atom_site_type_symbol
_atom_site_fract_x
_atom_site_fract_y
_atom_site_fract_z
_atom_site_occupancy
Na1 Na 0.1745 0.1065 0.1138 1
Na2 Na 0.1745 0.3935 0.6138 1
Na3 Na 0.3255 0.6065 0.1138 1
Na4 Na 0.3255 0.8935 0.6138 1
Na5 Na 0.6745 0.1065 0.3862 1
Na6 Na 0.6745 0.3935 0.8862 1
Na7 Na 0.8255 0.6065 0.3862 1
Na8 Na 0.8255 0.8935 0.8862 1
Ag1 Ag 0.1049 0.5786 0.7655 1
Ag2 Ag 0.1049 0.9214 0.2655 1
Ag3 Ag 0.3951 0.0786 0.7655 1
Ag4 Ag 0.3951 0.4214 0.2655 1
Ag5 Ag 0.6049 0.5786 0.7345 1
Ag6 Ag 0.6049 0.9214 0.2345 1
Ag7 Ag 0.8951 0.0786 0.7345 1
Ag8 Ag 0.8951 0.4214 0.2345 1
I1 I 0.0844 0.2196 0.4878 1
I2 I 0.0844 0.2804 0.9878 1
I3 I 0.1267 0.6167 0.2889 1
I4 I 0.1267 0.8833 0.7889 1
I5 I 0.3733 0.1167 0.2889 1
I6 I 0.3733 0.3833 0.7889 1
I7 I 0.4156 0.7196 0.4878 1
I8 I 0.4156 0.7804 0.9878 1
I9 I 0.5844 0.2196 0.0122 1
I10 I 0.5844 0.2804 0.5122 1
I11 I 0.6267 0.6167 0.2111 1
I12 I 0.6267 0.8833 0.7111 1
I13 I 0.8733 0.1167 0.2111 1
I14 I 0.8733 0.3833 0.7111 1
I15 I 0.9156 0.7196 0.0122 1
I16 I 0.9156 0.7804 0.5122 1
O1 O 0.0367 0.7415 0.4382 1
O2 O 0.0367 0.7585 0.9382 1
O3 O 0.1886 0.6367 0.5618 1
O4 O 0.1886 0.8633 0.0618 1
O5 O 0.2486 0.6445 0.6218 1
O6 O 0.2486 0.8555 0.1218 1
O7 O 0.2514 0.1445 0.6218 1
O8 O 0.2514 0.3555 0.1218 1
O9 O 0.3114 0.1367 0.5618 1
O10 O 0.3114 0.3633 0.0618 1
O11 O 0.4633 0.2415 0.4382 1
O12 O 0.4633 0.2585 0.9382 1
O13 O 0.5367 0.7415 0.0618 1
O14 O 0.5367 0.7585 0.5618 1
O15 O 0.6886 0.6367 0.9382 1
O16 O 0.6886 0.8633 0.4382 1
O17 O 0.7486 0.6445 0.8782 1
O18 O 0.7486 0.8555 0.3782 1
O19 O 0.7514 0.1445 0.8782 1
O20 O 0.7514 0.3555 0.3782 1
O21 O 0.8114 0.1367 0.9382 1
O22 O 0.8114 0.3633 0.4382 1
O23 O 0.9633 0.2415 0.0618 1
O24 O 0.9633 0.2585 0.5618 1
```